The following is a simulated PXRD pattern of Ba6Na2Mn2Nb2O17. It was derived from the GGA+U geometry in Alexandria, using λ = 1.5418 Å (Cu Kα).
Neutral-atom scattering factors, no anomalous dispersion.

Main lines, low angle first (2θ = 10–90°):
20.7 deg, rel. 21; 26.8 deg, rel. 25; 29.1 deg, rel. 52; 29.9 deg, rel. 100; 40.5 deg, rel. 14; 42.2 deg, rel. 30; 42.4 deg, rel. 13; 52.6 deg, rel. 18; 53.0 deg, rel. 19; 62.0 deg, rel. 18

Cell and atoms:
```
Ba6Na2Mn2Nb2O17
1.0
5.983 0.000 0.000
-2.992 5.181 0.000
0.000 0.000 30.425
Ba Na Mn Nb O
12 4 4 4 34
direct
0.000 0.000 0.000 Ba
0.000 0.000 0.250 Ba
0.000 0.000 0.500 Ba
0.000 0.000 0.750 Ba
0.333 0.667 0.089 Ba
0.333 0.667 0.411 Ba
0.333 0.667 0.681 Ba
0.333 0.667 0.819 Ba
0.667 0.333 0.181 Ba
0.667 0.333 0.319 Ba
0.667 0.333 0.589 Ba
0.667 0.333 0.911 Ba
0.000 0.000 0.124 Na
0.000 0.000 0.376 Na
0.000 0.000 0.624 Na
0.000 0.000 0.876 Na
0.333 0.667 0.552 Mn
0.333 0.667 0.948 Mn
0.667 0.333 0.052 Mn
0.667 0.333 0.448 Mn
0.333 0.667 0.201 Nb
0.333 0.667 0.299 Nb
0.667 0.333 0.701 Nb
0.667 0.333 0.799 Nb
0.027 0.514 0.250 O
0.174 0.349 0.169 O
0.174 0.349 0.331 O
0.174 0.826 0.169 O
0.174 0.826 0.331 O
0.177 0.354 0.572 O
0.177 0.354 0.928 O
0.177 0.823 0.572 O
0.177 0.823 0.928 O
0.333 0.667 0.004 O
0.333 0.667 0.496 O
0.349 0.174 0.669 O
0.349 0.174 0.831 O
0.354 0.177 0.072 O
0.354 0.177 0.428 O
0.486 0.514 0.250 O
0.486 0.973 0.250 O
0.514 0.027 0.750 O
0.514 0.486 0.750 O
0.646 0.823 0.572 O
0.646 0.823 0.928 O
0.651 0.826 0.169 O
0.651 0.826 0.331 O
0.667 0.333 0.504 O
0.667 0.333 0.996 O
0.823 0.177 0.072 O
0.823 0.177 0.428 O
0.823 0.646 0.072 O
0.823 0.646 0.428 O
0.826 0.174 0.669 O
0.826 0.174 0.831 O
0.826 0.651 0.669 O
0.826 0.651 0.831 O
0.973 0.486 0.750 O
```